# 1
This entry pairs a crystal structure of Dy2ZrTl2Se6 with its theoretical XRD peak list. Radiation: Cu Kα. Structure: a cell relaxed with GGA-PBE.
Lines closer than 0.1° are merged.

Atomic structure:
```
data_Dy2ZrTl2Se6
_chemical_formula_sum 'Dy4 Zr2 Tl4 Se12'
_symmetry_space_group_name_H-M 'C 1 2/m 1'
_symmetry_Int_Tables_number 12
_symmetry_space_group_name_Hall '-C 2y'
_cell_length_a 7.0463
_cell_length_b 12.1587
_cell_length_c 8.2049
_cell_angle_alpha 90.00
_cell_angle_beta 107.05
_cell_angle_gamma 90.00
loop_
_atom_site_label
_atom_site_fract_x
_atom_site_fract_y
_atom_site_fract_z
Dy1 0.0000 0.1675 0.0000
Zr1 0.0000 0.5000 0.0000
Tl1 0.0000 0.3307 0.5000
Se1 0.2288 0.3412 0.2010
Se2 0.2490 0.5000 0.7985
```

Peak list (10 most intense, 2θ from 10° to 90°, in order of rising 2θ)
16.33°, rel. 15
26.45°, rel. 15
29.45°, rel. 53
29.66°, rel. 100
39.91°, rel. 42
40.08°, rel. 19
44.59°, rel. 34
44.72°, rel. 17
46.28°, rel. 13
54.47°, rel. 26



# 2
This entry pairs a crystal structure of ThInCl with its theoretical XRD peak list. Radiation: Cu Kα. Structure: a cell relaxed with GGA-PBE.
Lines closer than 0.1° are merged.

Atomic structure:
```
data_ThInCl
_chemical_formula_sum 'Th2 In2 Cl2'
_symmetry_space_group_name_H-M 'P 1'
_symmetry_Int_Tables_number 1
_symmetry_space_group_name_Hall 'P 1'
_cell_length_a 3.4687
_cell_length_b 4.9618
_cell_length_c 10.0901
_cell_angle_alpha 96.82
_cell_angle_beta 90.27
_cell_angle_gamma 110.42
loop_
_atom_site_label
_atom_site_fract_x
_atom_site_fract_y
_atom_site_fract_z
Th1 0.0000 0.0000 0.0000
Th2 0.4676 0.9269 0.3229
In1 0.2129 0.4164 0.5208
In2 0.5040 0.0060 0.6770
Cl1 0.2678 0.5393 0.8939
Cl2 0.7224 0.4413 0.1616
```

Peak list (10 most intense, 2θ from 10° to 90°, in order of rising 2θ)
19.25°, rel. 82
26.73°, rel. 47
28.52°, rel. 47
29.30°, rel. 79
31.01°, rel. 100
33.51°, rel. 53
33.64°, rel. 50
35.17°, rel. 64
39.07°, rel. 48
39.33°, rel. 86



# 3
This entry pairs a crystal structure of CeTm2Rh9 with its theoretical XRD peak list. Radiation: Cu Kα. Structure: a cell relaxed with GGA-PBE.
Lines closer than 0.1° are merged.

Atomic structure:
```
data_CeTm2Rh9
_chemical_formula_sum 'Ce3 Tm6 Rh27'
_symmetry_space_group_name_H-M 'R -3 m'
_symmetry_Int_Tables_number 166
_symmetry_space_group_name_Hall '-R 3 2"'
_cell_length_a 5.2440
_cell_length_b 5.2440
_cell_length_c 26.2758
_cell_angle_alpha 90.00
_cell_angle_beta 90.00
_cell_angle_gamma 120.00
loop_
_atom_site_label
_atom_site_fract_x
_atom_site_fract_y
_atom_site_fract_z
Ce1 0.0000 0.0000 0.0000
Tm1 0.0000 0.0000 0.1397
Rh1 0.0000 0.0000 0.3332
Rh2 0.0000 0.0000 0.5000
Rh3 0.0012 0.5006 0.9162
```

Peak list (10 most intense, 2θ from 10° to 90°, in order of rising 2θ)
30.91°, rel. 28
33.68°, rel. 27
34.20°, rel. 37
39.85°, rel. 34
40.08°, rel. 100
41.23°, rel. 19
42.77°, rel. 20
43.41°, rel. 30
65.21°, rel. 23
72.04°, rel. 25



# 4
This entry pairs a crystal structure of SmDy2HoEr5 with its theoretical XRD peak list. Radiation: Cu Kα. Structure: a cell relaxed with GGA-PBE.
Lines closer than 0.1° are merged.

Atomic structure:
```
data_SmDy2HoEr5
_chemical_formula_sum 'Sm4 Dy8 Ho4 Er20'
_symmetry_space_group_name_H-M 'I 4/m c m'
_symmetry_Int_Tables_number 140
_symmetry_space_group_name_Hall '-I 4 2c'
_cell_length_a 8.8682
_cell_length_b 8.8682
_cell_length_c 14.5715
_cell_angle_alpha 90.00
_cell_angle_beta 90.00
_cell_angle_gamma 90.00
loop_
_atom_site_label
_atom_site_fract_x
_atom_site_fract_y
_atom_site_fract_z
Sm1 0.0000 0.0000 0.2500
Dy1 0.1128 0.3872 0.0000
Ho1 0.0000 0.5000 0.2500
Er1 0.0000 0.0000 0.0000
Er2 0.2055 0.2945 0.3674
```

Peak list (10 most intense, 2θ from 10° to 90°, in order of rising 2θ)
28.47°, rel. 53
29.07°, rel. 49
31.79°, rel. 100
31.91°, rel. 15
37.06°, rel. 23
38.33°, rel. 15
42.48°, rel. 18
52.55°, rel. 20
58.61°, rel. 13
58.87°, rel. 15